[1]
Starting from the PBE geometry in OQMD, the powder XRD pattern of KLi6ZrO6 was simulated for Cu Kα.

Cell and atoms:
a b c (Å): 8.3724 8.3724 7.3058
angles (deg): 90.00 90.00 120.00
Space group R-3m (No. 166, hexagonal axes)
Inequivalent atoms, fractional coordinates:
K  0.0000  0.0000  0.0000
Li  0.0000  0.3448  0.5000
Zr  0.0000  0.0000  0.5000
O  0.0842  0.5421  0.3207

Most intense lines, 2θ = 5–70°, sorted by position:
2θ/deg, I_rel, h k l
17.23, 61, 1 0 1
21.22, 92, 1 1 0
27.34, 74, 0 1 2
27.47, 37, 0 2 1
37.20, 26, 3 0 0
41.18, 100, 1 2 2
43.22, 27, 2 2 0
53.41, 21, 0 3 3
56.73, 21, 0 4 2
60.96, 27, 2 1 4

[2]
Starting from the PBE geometry in OQMD, the powder XRD pattern of PrDy2Mg3Pt2Au was simulated for Cu Kα.

Cell and atoms:
a b c (Å): 4.069 13.065 7.487
angles (deg): 90.00 90.00 90.00
Space group Amm2 (No. 38)
Inequivalent atoms, fractional coordinates:
Pr  0.000  0.000  0.000
Dy  0.000  0.208  0.626
Mg  0.500  0.000  0.665
Mg  0.500  0.126  0.295
Pt  0.500  0.172  0.915
Au  0.000  0.000  0.424

Most intense lines, 2θ = 5–70°, sorted by position:
2θ/deg, I_rel, h k l
23.63, 48, 0 3 1
25.82, 37, 1 1 1
32.40, 51, 1 3 1
32.50, 29, 1 0 2
35.23, 41, 1 4 0
35.36, 100, 1 2 2
41.71, 33, 0 3 3
42.90, 35, 1 5 1
44.54, 30, 2 0 0
66.60, 24, 1 8 2

[3]
Starting from the PBE geometry in OQMD, the powder XRD pattern of InCuIrS3 was simulated for Cu Kα.

Cell and atoms:
a b c (Å): 3.707 12.412 9.346
angles (deg): 90.00 90.00 90.00
Space group Cmcm (No. 63)
Inequivalent atoms, fractional coordinates:
In  0.000  0.245  0.250
Cu  0.000  0.046  0.750
Ir  0.000  0.500  0.000
S  0.000  0.125  0.533
S  0.000  0.429  0.750

Most intense lines, 2θ = 5–70°, sorted by position:
2θ/deg, I_rel, h k l
14.27, 74, 0 2 0
23.84, 100, 0 2 2
28.77, 41, 0 4 0
31.64, 66, 1 1 2
32.43, 40, 1 3 0
33.85, 73, 1 3 1
37.85, 80, 1 3 2
38.51, 72, 0 0 4
48.10, 36, 0 6 2
48.23, 45, 1 5 2